[1]
Calculated powder XRD pattern of Sc2Mo for a wavelength of 1.5418 Å, from a crystal structure in Alexandria, relaxed with PBE.

Principal peaks in the range 10° ≤ 2θ ≤ 90°, in order of rising 2θ:
7.173 Å, 12.34 deg, intensity 45; 2.491 Å, 36.06 deg, intensity 100; 2.391 Å, 37.62 deg, intensity 20; 2.063 Å, 43.88 deg, intensity 29; 2.046 Å, 44.27 deg, intensity 14; 1.562 Å, 59.14 deg, intensity 19; 1.399 Å, 66.88 deg, intensity 11; 1.259 Å, 75.52 deg, intensity 20

Crystal structure
Lattice parameters (Å, degrees): 2.918 2.918 14.347 90.00 90.00 90.00
Positions (direct):
Sc 0.000 0.000 0.152
Sc 0.000 0.000 0.848
Sc 0.500 0.500 0.348
Sc 0.500 0.500 0.652
Mo 0.000 0.000 0.500
Mo 0.500 0.500 0.000

[2]
Calculated powder XRD pattern of ScSi2Mo for a wavelength of 1.5418 Å, from a crystal structure in Alexandria, relaxed with PBE.

Principal peaks in the range 10° ≤ 2θ ≤ 90°, in order of rising 2θ:
3.150 Å, 28.33 deg, intensity 31; 2.633 Å, 34.05 deg, intensity 30; 2.623 Å, 34.19 deg, intensity 26; 2.477 Å, 36.26 deg, intensity 100; 2.475 Å, 36.30 deg, intensity 39; 2.382 Å, 37.76 deg, intensity 42; 1.994 Å, 45.50 deg, intensity 43; 1.814 Å, 50.31 deg, intensity 54

Crystal structure
Lattice parameters (Å, degrees): 5.133 5.127 9.883 90.00 105.37 90.00
Positions (direct):
Sc 0.198 0.122 0.147
Sc 0.198 0.878 0.647
Sc 0.802 0.122 0.353
Sc 0.802 0.878 0.853
Si 0.171 0.379 0.591
Si 0.171 0.621 0.091
Si 0.339 0.140 0.427
Si 0.339 0.860 0.927
Si 0.661 0.140 0.073
Si 0.661 0.860 0.573
Si 0.829 0.379 0.909
Si 0.829 0.621 0.409
Mo 0.297 0.365 0.865
Mo 0.297 0.635 0.365
Mo 0.703 0.365 0.635
Mo 0.703 0.635 0.135

[3]
Calculated powder XRD pattern of Sc2SiMo for a wavelength of 1.5418 Å, from a crystal structure in Alexandria, relaxed with PBE.

Principal peaks in the range 10° ≤ 2θ ≤ 90°, in order of rising 2θ:
6.591 Å, 13.43 deg, intensity 51; 3.361 Å, 26.52 deg, intensity 19; 2.994 Å, 29.84 deg, intensity 27; 2.376 Å, 37.86 deg, intensity 70; 2.353 Å, 38.25 deg, intensity 100; 1.839 Å, 49.57 deg, intensity 21; 1.680 Å, 54.61 deg, intensity 23; 1.368 Å, 68.63 deg, intensity 33

Crystal structure
Lattice parameters (Å, degrees): 3.361 3.361 6.591 90.00 90.00 90.00
Positions (direct):
Sc 0.000 0.000 0.000
Sc 0.500 0.500 0.332
Si 0.000 0.000 0.575
Mo 0.500 0.500 0.734

[4]
Calculated powder XRD pattern of ScTa2Mo for a wavelength of 1.5418 Å, from a crystal structure in Alexandria, relaxed with PBE.

Principal peaks in the range 10° ≤ 2θ ≤ 90°, in order of rising 2θ:
4.236 Å, 20.97 deg, intensity 22; 3.105 Å, 28.75 deg, intensity 11; 2.370 Å, 37.96 deg, intensity 26; 2.358 Å, 38.16 deg, intensity 23; 2.345 Å, 38.39 deg, intensity 100; 1.672 Å, 54.92 deg, intensity 16; 1.363 Å, 68.86 deg, intensity 18; 1.359 Å, 69.12 deg, intensity 14

Crystal structure
Lattice parameters (Å, degrees): 3.288 4.740 9.434 90.00 90.00 90.00
Positions (direct):
Sc 0.000 0.000 0.000
Sc 0.500 0.500 0.500
Ta 0.000 0.000 0.465
Ta 0.000 0.500 0.230
Ta 0.500 0.000 0.730
Ta 0.500 0.500 0.965
Mo 0.000 0.500 0.746
Mo 0.500 0.000 0.246